Computed powder X-ray diffraction pattern of PmCdPt3 for Cu Kα, from a cell relaxed with GGA-PBE.
Peak positions follow from Bragg's law for the DFT cell and can differ from measured ones.

Largest 6 diffraction maxima, sorted by position, 2θ = 10–80°:
two_theta  I/Imax
31.79  29
35.29  100
41.93  28
45.28  34
50.70  22
58.92  23

Structural model:
```
data_PmCdPt3
_chemical_formula_sum 'Pm2 Cd2 Pt6'
_cell_length_a 6.5827
_cell_length_b 6.5827
_cell_length_c 5.6299
_cell_angle_alpha 90.00
_cell_angle_beta 90.00
_cell_angle_gamma 120.00
_symmetry_space_group_name_H-M 'P 63/m m c'
_symmetry_Int_Tables_number 194
_symmetry_space_group_name_Hall '-P 6c 2c'
loop_
_atom_site_label
_atom_site_fract_x
_atom_site_fract_y
_atom_site_fract_z
_atom_site_occupancy
Pm1 0.3333 0.6667 0.2500 1
Cd1 0.0000 0.0000 0.0000 1
Pt1 0.2010 0.4019 0.7500 1
```